Starting from a structure optimized by DFT (PBE+U), the XRD peak list of Tb2VCoO6 was computed for λ = 1.5418 Å (Cu Kα).

Cell and atoms:
a b c (Å): 5.249 5.639 9.168
angles (deg): 90.00 124.74 90.00
Space group P2_1/c (No. 14)
Unique sites:
Tb  0.229  0.069  0.250 [4 per cell]
V  0.500  0.000  0.000 [2 per cell]
Co  0.000  0.000  0.500 [2 per cell]
O  0.137  0.202  0.947 [4 per cell]
O  0.250  0.691  0.948 [4 per cell]
O  0.351  0.035  0.747 [4 per cell]

Peak list (12 most intense, 2θ = 5–70°, by intensity)
hkl, Position (°2θ), I_rel
1 1 1, 33.3, 100
2 0 -2, 34.2, 25
1 1 0, 26.0, 24
1 3 -2, 53.2, 21
1 1 -1, 23.2, 21
2 0 -6, 60.6, 19
0 2 0, 31.7, 18
2 2 -2, 47.3, 17
0 2 1, 34.0, 16
2 2 -3, 48.9, 15
0 0 4, 48.3, 15
0 0 2, 23.6, 14